1.
Simulated PXRD pattern of La6Ag5Ge for Cu Kα (λ = 1.5418 Å), from a structure optimized by DFT (PBE).
Kinematic intensities with the Lorentz-polarization factor, no thermal factor.

Structural model:
```
data_La6Ag5Ge
_chemical_formula_sum 'La6 Ag5 Ge1'
_symmetry_space_group_name_H-M 'P 1 2/m 1'
_symmetry_Int_Tables_number 10
_symmetry_space_group_name_Hall '-P 2y'
_cell_length_a 5.3541
_cell_length_b 7.6054
_cell_length_c 8.5802
_cell_angle_alpha 90.00
_cell_angle_beta 108.02
_cell_angle_gamma 90.00
loop_
_atom_site_label
_atom_site_type_symbol
_atom_site_fract_x
_atom_site_fract_y
_atom_site_fract_z
La1 La 0.0000 0.2401 0.0000
La2 La 0.3388 0.2455 0.6783
Ag1 Ag 0.1720 0.5000 0.3437
Ag2 Ag 0.1777 0.0000 0.3551
Ag3 Ag 0.5000 0.5000 0.0000
Ge1 Ge 0.5000 0.0000 0.0000
```

The 10 most intense peaks (2θ = 15–90°), sorted by position:
hkl 0 0 3, 2θ 32.9, d = 2.720 Å, rel. 248; hkl 1 2 1, 2θ 33.3, d = 2.694 Å, rel. 1000; hkl 2 0 -1, 2θ 33.5, d = 2.677 Å, rel. 250; hkl 2 0 2, 2θ 47.6, d = 1.910 Å, rel. 87; hkl 2 0 -4, 2θ 47.7, d = 1.905 Å, rel. 86; hkl 0 4 0, 2θ 47.8, d = 1.901 Å, rel. 89; hkl 0 4 3, 2θ 59.3, d = 1.558 Å, rel. 87; hkl 3 2 0, 2θ 59.7, d = 1.550 Å, rel. 180; hkl 3 2 -3, 2θ 59.7, d = 1.548 Å, rel. 90; hkl 4 0 1, 2θ 79.7, d = 1.203 Å, rel. 93



2.
Simulated PXRD pattern of Pm3Pr2SmSb6 for Cu Kα (λ = 1.5418 Å), from a structure optimized by DFT (PBE).
Kinematic intensities with the Lorentz-polarization factor, no thermal factor.

Structural model:
```
data_Pm3Pr2SmSb6
_chemical_formula_sum 'Pm6 Pr4 Sm2 Sb12'
_symmetry_space_group_name_H-M 'C 1 2/m 1'
_symmetry_Int_Tables_number 12
_symmetry_space_group_name_Hall '-C 2y'
_cell_length_a 19.6571
_cell_length_b 4.5125
_cell_length_c 9.0191
_cell_angle_alpha 90.00
_cell_angle_beta 103.26
_cell_angle_gamma 90.00
loop_
_atom_site_label
_atom_site_type_symbol
_atom_site_fract_x
_atom_site_fract_y
_atom_site_fract_z
Pm1 Pm 0.0000 0.0000 0.0000
Pm2 Pm 0.1672 0.5000 0.3337
Pr1 Pr 0.1662 0.5000 0.8328
Sm1 Sm 0.0000 0.0000 0.5000
Sb1 Sb 0.0012 0.5000 0.2517
Sb2 Sb 0.1659 0.0000 0.0856
Sb3 Sb 0.1661 0.0000 0.5802
```

The 9 most intense peaks (2θ = 15–90°), sorted by position:
hkl 2 0 2, 2θ 24.2, d = 3.683 Å, rel. 16; hkl 6 0 0, 2θ 28.0, d = 3.189 Å, rel. 1000; hkl 5 1 2, 2θ 40.0, d = 2.255 Å, rel. 766; hkl 1 1 4, 2θ 47.3, d = 1.923 Å, rel. 9; hkl 6 2 0, 2θ 49.5, d = 1.841 Å, rel. 274; hkl 12 0 0, 2θ 57.8, d = 1.595 Å, rel. 129; hkl 8 2 -4, 2θ 65.4, d = 1.426 Å, rel. 353; hkl 12 2 0, 2θ 72.6, d = 1.302 Å, rel. 260; hkl 0 4 0, 2θ 86.3, d = 1.128 Å, rel. 84



3.
Simulated PXRD pattern of Ca4Tl5In2 for Cu Kα (λ = 1.5418 Å), from a structure optimized by DFT (PBE).
Kinematic intensities with the Lorentz-polarization factor, no thermal factor.

Structural model:
```
data_Ca4Tl5In2
_chemical_formula_sum 'Ca4 Tl5 In2'
_symmetry_space_group_name_H-M 'P 1 2/m 1'
_symmetry_Int_Tables_number 10
_symmetry_space_group_name_Hall '-P 2y'
_cell_length_a 9.9429
_cell_length_b 3.7401
_cell_length_c 10.0103
_cell_angle_alpha 90.00
_cell_angle_beta 118.39
_cell_angle_gamma 90.00
loop_
_atom_site_label
_atom_site_type_symbol
_atom_site_fract_x
_atom_site_fract_y
_atom_site_fract_z
Ca1 Ca 0.2299 0.0000 0.2250
Ca2 Ca 0.2542 0.0000 0.7547
Tl1 Tl 0.0882 0.5000 0.9066
Tl2 Tl 0.1248 0.5000 0.4438
Tl3 Tl 0.5000 0.5000 0.5000
In1 In 0.4341 0.5000 0.1086
```

The 10 most intense peaks (2θ = 15–90°), sorted by position:
hkl 0 0 2, 2θ 20.2, d = 4.403 Å, rel. 373; hkl 0 1 0, 2θ 23.8, d = 3.740 Å, rel. 1000; hkl 3 0 -2, 2θ 27.5, d = 3.242 Å, rel. 371; hkl 0 1 2, 2θ 31.4, d = 2.851 Å, rel. 767; hkl 2 1 0, 2θ 31.5, d = 2.842 Å, rel. 444; hkl 2 1 -2, 2θ 31.8, d = 2.818 Å, rel. 342; hkl 2 0 2, 2θ 35.1, d = 2.555 Å, rel. 491; hkl 2 0 -4, 2θ 35.9, d = 2.501 Å, rel. 284; hkl 3 1 -2, 2θ 36.7, d = 2.450 Å, rel. 361; hkl 2 1 2, 2θ 42.9, d = 2.110 Å, rel. 317